(1)
# NaMnO2
Computed powder diffractogram, Cu Kα X-rays. Input: a GGA+U-relaxed structure.
No peak broadening, texture or thermal motion is included.

Most intense lines, 2θ = 10–90°, low angle first:
2θ/deg	intensity
16.22	100
32.77	26
35.38	88
38.41	77
40.04	21
42.79	34
48.38	52
57.68	15
60.20	16
62.28	31

Structural model:
```
NaMnO2
1.0
3.2157 0.0000 0.0000
-0.5722 5.1837 0.0000
-1.3168 -2.5886 10.9303
Na Mn O
4 4 8
Cartesian
0.0000 0.0000 0.0000
-0.7162 3.6447 5.4665
-0.0032 0.0044 10.9303
1.1768 1.0531 5.4635
-0.3612 1.8196 2.7339
-0.3566 1.8285 8.1962
0.9609 4.4108 2.7338
1.5373 -0.7635 8.1964
-0.3836 0.2052 3.8439
-0.3375 3.4344 1.6211
-0.3842 0.2149 7.0829
0.2412 -1.7415 9.3095
0.9327 2.7977 3.8464
1.5589 0.8412 1.6196
0.9420 2.8053 7.0859
1.5601 0.8506 9.3086
```

=====

(2)
# Ti2MnO4
Computed powder diffractogram, Cu Kα X-rays. Input: a GGA+U-relaxed structure.
No peak broadening, texture or thermal motion is included.

Most intense lines, 2θ = 10–90°, low angle first:
2θ/deg	intensity
17.75	7
29.18	36
34.36	100
41.74	19
51.74	12
55.13	38
60.50	48
71.47	10
83.59	6
86.33	16

Structural model:
```
Ti2MnO4
1.0
0.0000 4.3280 4.3280
4.3280 0.0000 4.3280
4.3280 4.3280 0.0000
Ti Mn O
4 2 8
Cartesian
0.0000 0.0000 0.0000
2.1640 2.1640 0.0000
2.1640 0.0000 2.1640
0.0000 2.1640 2.1640
3.2460 3.2460 3.2460
5.4100 5.4100 5.4100
6.5901 4.2300 4.2300
2.0660 2.0660 2.0660
4.4261 4.4261 2.0660
4.4261 2.0660 4.4261
4.2300 6.5901 4.2300
4.2300 4.2300 6.5901
6.5901 6.5901 6.5901
2.0660 4.4261 4.4261
```

=====

> Which formula does entry 1 have?

NaMnO2

=====

Copy entry 1 word for word.
# NaMnO2
Computed powder diffractogram, Cu Kα X-rays. Input: a GGA+U-relaxed structure.
No peak broadening, texture or thermal motion is included.

Most intense lines, 2θ = 10–90°, low angle first:
2θ/deg	intensity
16.22	100
32.77	26
35.38	88
38.41	77
40.04	21
42.79	34
48.38	52
57.68	15
60.20	16
62.28	31

Structural model:
```
NaMnO2
1.0
3.2157 0.0000 0.0000
-0.5722 5.1837 0.0000
-1.3168 -2.5886 10.9303
Na Mn O
4 4 8
Cartesian
0.0000 0.0000 0.0000
-0.7162 3.6447 5.4665
-0.0032 0.0044 10.9303
1.1768 1.0531 5.4635
-0.3612 1.8196 2.7339
-0.3566 1.8285 8.1962
0.9609 4.4108 2.7338
1.5373 -0.7635 8.1964
-0.3836 0.2052 3.8439
-0.3375 3.4344 1.6211
-0.3842 0.2149 7.0829
0.2412 -1.7415 9.3095
0.9327 2.7977 3.8464
1.5589 0.8412 1.6196
0.9420 2.8053 7.0859
1.5601 0.8506 9.3086
```